For MnC5O5, a DFT-relaxed cell (GGA+U, the Materials Project) gives the computed PXRD pattern in this record (Cu Kα, 1.54184 Å).
No peak broadening, texture or thermal motion is included.

Atomic structure:
a b c (Å): 18.0485 7.3353 14.5642
angles (deg): 90.00 126.31 90.00
Space group C2/c (No. 15)
Symmetry-distinct sites (fractional):
Mn1 0.0694 0.2320 0.2216 [8 per cell]
C1 0.0255 0.3325 0.4168 [8 per cell]
C2 0.0267 0.0031 0.1573 [8 per cell]
C3 0.1000 0.4636 0.2870 [8 per cell]
C4 0.1469 0.1240 0.3642 [8 per cell]
C5 0.1545 0.2381 0.1929 [8 per cell]
O1 0.0000 0.1376 0.6129 [8 per cell]
O2 0.0849 0.3929 0.5041 [8 per cell]
O3 0.1193 0.3923 0.8272 [8 per cell]
O4 0.1958 0.0539 0.4521 [8 per cell]
O5 0.2090 0.2425 0.1747 [8 per cell]

The 10 most intense peaks (2θ from 10° to 80°), by angle:
hkl, 2θ/deg, Rel. int.
2 0 0, 12.17, 63
2 0 -2, 12.58, 19
1 1 -1, 13.61, 100
0 0 2, 15.10, 45
1 1 1, 17.17, 65
0 2 2, 28.70, 23
1 1 3, 29.55, 42
6 0 -4, 30.96, 59
4 2 -1, 32.21, 18
1 3 1, 38.86, 20